# 1
Diffraction record for NaYSe4O12. The PXRD pattern is theoretical, not measured: it uses a GGA-PBE-relaxed structure and Cu Kα, 1.54184 Å.

```
data_NaYSe4O12
_chemical_formula_sum 'Na1 Y1 Se4 O12'
_cell_length_a 5.3952
_cell_length_b 5.3952
_cell_length_c 7.6119
_cell_angle_alpha 90.00
_cell_angle_beta 90.00
_cell_angle_gamma 90.00
_space_group_name_H-M_alt 'P 4/m m m'
_space_group_IT_number 123
_space_group_name_Hall '-P 4 2'
loop_
_atom_site_label
_atom_site_fract_x
_atom_site_fract_y
_atom_site_fract_z
_atom_site_occupancy
Na1 0.0000 0.0000 0.0000 1
Y1 0.5000 0.5000 0.5000 1
Se1 0.0000 0.5000 0.2460 1
O1 0.0000 0.5000 0.0000 1
O2 0.0000 0.5000 0.5000 1
O3 0.2600 0.2600 0.2714 1
```

Peak list (12 most intense, 2θ = 15–90°, by angle)
2θ = 20.17°, d 4.402, I 24; 2θ = 23.33°, d 3.812, I 70; 2θ = 33.24°, d 2.695, I 100; 2θ = 39.19°, d 2.299, I 12; 2θ = 47.68°, d 1.908, I 33; 2θ = 47.80°, d 1.903, I 16; 2θ = 53.74°, d 1.706, I 17; 2θ = 59.39°, d 1.556, I 40; 2θ = 69.78°, d 1.348, I 27; 2θ = 74.69°, d 1.271, I 10; 2θ = 79.45°, d 1.206, I 11; 2θ = 88.94°, d 1.100, I 9

---

# 2
Diffraction record for NaYSe2O6. The PXRD pattern is theoretical, not measured: it uses a GGA-PBE-relaxed structure and Cu Kα, 1.54184 Å.

```
data_NaYSe2O6
_chemical_formula_sum 'Na4 Y4 Se8 O24'
_cell_length_a 12.9233
_cell_length_b 8.7565
_cell_length_c 5.4700
_cell_angle_alpha 90.00
_cell_angle_beta 90.00
_cell_angle_gamma 90.00
_space_group_name_H-M_alt 'P n a 21'
_space_group_IT_number 33
loop_
_space_group_symop_operation_xyz
'x,y,z'
'-x,-y,z+1/2'
'-x+1/2,y+1/2,z+1/2'
'x+1/2,-y+1/2,z'
loop_
_atom_site_label
_atom_site_fract_x
_atom_site_fract_y
_atom_site_fract_z
_atom_site_occupancy
Na1 0.1172 0.0140 0.0000 1
Y1 0.0873 0.6737 0.4442 1
Se1 0.0798 0.2682 0.4973 1
Se2 0.2026 0.4688 0.9500 1
O1 0.0128 0.1532 0.6975 1
O2 0.0156 0.4377 0.5829 1
O3 0.0259 0.2223 0.2199 1
O4 0.1746 0.8992 0.3977 1
O5 0.2035 0.6254 0.7580 1
O6 0.2165 0.5476 0.2398 1
```

Peak list (12 most intense, 2θ = 15–90°, by angle)
2θ = 20.34°, d 4.367, I 19; 2θ = 21.28°, d 4.175, I 34; 2θ = 24.56°, d 3.625, I 63; 2θ = 28.27°, d 3.157, I 59; 2θ = 29.56°, d 3.022, I 100; 2θ = 32.18°, d 2.782, I 58; 2θ = 32.74°, d 2.735, I 29; 2θ = 34.84°, d 2.575, I 15; 2θ = 35.56°, d 2.524, I 23; 2θ = 46.95°, d 1.935, I 22; 2θ = 56.50°, d 1.629, I 13; 2θ = 58.45°, d 1.579, I 24